# Ca6FeCo3O12
Theoretical X-ray powder pattern, Cu Kα (weighted mean of Kα1 and Kα2). Input: a PBE+U-relaxed structure.
Neutral-atom scattering factors, no anomalous dispersion.

a b c (Å): 6.334 6.334 6.334
angles (deg): 92.48 92.48 92.48
Positions (direct):
Ca 0.000 0.368 0.632
Ca 0.131 0.869 0.500
Ca 0.368 0.632 0.000
Ca 0.500 0.131 0.869
Ca 0.632 0.000 0.368
Ca 0.869 0.500 0.131
Fe 0.500 0.500 0.500
Co 0.000 0.000 0.000
Co 0.250 0.250 0.250
Co 0.750 0.750 0.750
O 0.039 0.712 0.844
O 0.156 0.288 0.961
O 0.211 0.541 0.342
O 0.288 0.961 0.156
O 0.342 0.211 0.541
O 0.459 0.789 0.658
O 0.541 0.342 0.211
O 0.658 0.459 0.789
O 0.712 0.844 0.039
O 0.789 0.658 0.459
O 0.844 0.039 0.712
O 0.961 0.156 0.288

Main lines, in order of rising 2θ (2θ from 10° to 90°):
Position (°2θ), I_rel
19.4, 70
32.2, 40
33.9, 100
41.3, 35
42.0, 23
46.0, 51
47.5, 43
54.5, 15
62.1, 31
71.4, 16

=====

# Na2MnP5O15
Theoretical X-ray powder pattern, Cu Kα (weighted mean of Kα1 and Kα2). Input: a PBE+U-relaxed structure.
Neutral-atom scattering factors, no anomalous dispersion.

a b c (Å): 5.312 13.741 8.919
angles (deg): 90.00 102.61 90.00
Positions (direct):
Na 0.073 0.111 0.127
Na 0.073 0.389 0.127
Na 0.927 0.611 0.873
Na 0.927 0.889 0.873
Mn 0.500 0.000 0.500
Mn 0.500 0.500 0.500
P 0.016 0.640 0.487
P 0.016 0.860 0.487
P 0.341 0.079 0.807
P 0.341 0.421 0.807
P 0.459 0.750 0.997
P 0.541 0.250 0.003
P 0.659 0.579 0.193
P 0.659 0.921 0.193
P 0.984 0.140 0.513
P 0.984 0.360 0.513
O 0.006 0.250 0.459
O 0.125 0.079 0.419
O 0.125 0.421 0.419
O 0.134 0.145 0.689
O 0.134 0.355 0.689
O 0.205 0.750 0.887
O 0.210 0.031 0.918
O 0.210 0.469 0.918
O 0.292 0.250 0.055
O 0.299 0.621 0.493
O 0.299 0.879 0.493
O 0.452 0.659 0.117
O 0.452 0.841 0.117
O 0.483 0.013 0.715
O 0.483 0.487 0.715
O 0.517 0.513 0.285
O 0.517 0.987 0.285
O 0.548 0.159 0.883
O 0.548 0.341 0.883
O 0.701 0.121 0.507
O 0.701 0.379 0.507
O 0.708 0.750 0.945
O 0.790 0.531 0.082
O 0.790 0.969 0.082
O 0.795 0.250 0.113
O 0.866 0.645 0.311
O 0.866 0.855 0.311
O 0.875 0.579 0.581
O 0.875 0.921 0.581
O 0.994 0.750 0.541

Main lines, in order of rising 2θ (2θ from 10° to 90°):
Position (°2θ), I_rel
12.9, 46
16.4, 67
17.9, 86
20.4, 79
22.1, 59
24.5, 60
25.4, 100
30.8, 72
31.2, 71
40.7, 48